Starting from a structure optimized by DFT (GGA-PBE), the powder diffractogram of BaLaZnRuO6 was simulated for Cu Kα (weighted mean of Kα1 and Kα2).
Intensities are scaled so that the largest is 100.

Peak list (10 most intense, 10 to 80 degrees two-theta, low angle first)
| 2θ (°) | I_rel |
| --- | --- |
| 31.1 | 97.9 |
| 31.4 | 100.0 |
| 44.3 | 20.5 |
| 44.8 | 18.5 |
| 45.1 | 18.1 |
| 55.4 | 21.0 |
| 55.6 | 21.3 |
| 55.7 | 13.5 |
| 56.0 | 13.6 |
| 64.7 | 11.0 |

Structural model:
Cell lengths 5.699, 5.708, 5.708 Å; angles 119.37, 90.43, 119.49 degrees
Sites, in units of the cell vectors:
Ba1 0.000 0.000 0.000
La1 0.512 0.998 0.486
Zn1 0.253 0.498 0.749
Ru1 0.747 0.498 0.252
O1 0.052 0.538 0.077
O2 0.472 0.532 0.461
O3 0.517 0.419 0.920
O4 0.519 0.013 0.052
O5 0.948 0.504 0.539
O6 0.948 0.983 0.474

=====

Starting from a structure optimized by DFT (GGA-PBE), the powder diffractogram of Pr4Nd3Ag4 was simulated for Cu Kα (weighted mean of Kα1 and Kα2).
Intensities are scaled so that the largest is 100.

Peak list (10 most intense, 10 to 80 degrees two-theta, low angle first)
| 2θ (°) | I_rel |
| --- | --- |
| 29.3 | 25.8 |
| 29.5 | 100.0 |
| 29.9 | 32.6 |
| 31.9 | 17.3 |
| 32.3 | 18.2 |
| 33.3 | 27.6 |
| 34.3 | 47.5 |
| 38.6 | 18.7 |
| 39.9 | 22.7 |
| 47.8 | 22.9 |

Structural model:
Cell lengths 9.509, 9.509, 9.509 Å; angles 148.05, 132.85, 58.10 degrees
Sites, in units of the cell vectors:
Pr1 0.051 0.825 0.226
Pr2 0.401 0.175 0.226
Pr3 0.599 0.825 0.774
Pr4 0.949 0.175 0.774
Nd1 0.000 0.500 0.500
Nd2 0.400 0.400 0.000
Nd3 0.600 0.600 0.000
Ag1 0.189 0.689 0.500
Ag2 0.315 0.000 0.315
Ag3 0.685 0.000 0.685
Ag4 0.811 0.311 0.500

=====

Starting from a structure optimized by DFT (GGA-PBE), the powder diffractogram of TlHgSbTe2 was simulated for Cu Kα (weighted mean of Kα1 and Kα2).
Intensities are scaled so that the largest is 100.

Peak list (10 most intense, 10 to 80 degrees two-theta, low angle first)
| 2θ (°) | I_rel |
| --- | --- |
| 25.6 | 27.3 |
| 27.7 | 41.5 |
| 27.9 | 100.0 |
| 28.2 | 31.6 |
| 30.8 | 63.2 |
| 37.3 | 53.8 |
| 37.6 | 26.1 |
| 38.2 | 26.6 |
| 40.4 | 32.8 |
| 51.6 | 29.9 |

Structural model:
Cell lengths 9.125, 4.464, 9.586 Å; angles 90.00, 107.20, 90.00 degrees
Sites, in units of the cell vectors:
Tl1 0.184 0.250 0.168
Tl2 0.816 0.750 0.832
Hg1 0.489 0.750 0.288
Hg2 0.511 0.250 0.712
Sb1 0.153 0.250 0.674
Sb2 0.847 0.750 0.326
Te1 0.178 0.750 0.443
Te2 0.185 0.750 0.896
Te3 0.815 0.250 0.104
Te4 0.822 0.250 0.557